Diffraction record for Sr3Tl3Sn8. The powder diffraction line list is simulated, not measured: it uses a cell relaxed with GGA-PBE and Cu Kα (λ = 1.5418 Å).
Kinematic intensities with the Lorentz-polarization factor, no thermal factor.

Cell and atoms:
```
data_Sr3Tl3Sn8
_chemical_formula_sum 'Sr6 Tl6 Sn16'
_cell_length_a 5.3900
_cell_length_b 11.7710
_cell_length_c 13.8701
_cell_angle_alpha 90.00
_cell_angle_beta 90.00
_cell_angle_gamma 90.00
_symmetry_space_group_name_H-M 'I m m m'
_symmetry_Int_Tables_number 71
_symmetry_space_group_name_Hall '-I 2 2'
loop_
_atom_site_label
_atom_site_fract_x
_atom_site_fract_y
_atom_site_fract_z
Sr1 0.0000 0.0000 0.0000
Sr2 0.0000 0.0000 0.2965
Tl1 0.0000 0.1706 0.5000
Tl2 0.0000 0.5000 0.0000
Sn1 0.0000 0.2672 0.1494
Sn2 0.0000 0.3696 0.3506
```

Largest 10 diffraction maxima, low angle first, 2θ = 5–70°:
h k l, 2θ/deg, intensity
1 2 3, 29.64, 100
0 3 3, 29.88, 31
1 3 2, 31.00, 53
2 0 0, 33.24, 64
1 4 1, 35.35, 50
1 3 4, 38.46, 34
0 0 6, 38.96, 24
2 3 3, 45.30, 20
2 0 6, 52.13, 21
1 4 7, 58.73, 30